No. 1
The following is a simulated X-ray diffraction stick pattern of Sm2C2BrCl. It was derived from the PBE geometry in OQMD, using Cu Kα (weighted mean of Kα1 and Kα2).
Intensities are scaled so that the largest is 100.

Cell and atoms:
Cell lengths 4.070, 4.070, 10.303 Å; angles 94.62, 94.62, 56.72 degrees
Element x y z (fractional)
Sm 0.000 0.000 0.000
Sm 0.708 0.708 0.707
C 0.282 0.282 0.890
C 0.428 0.428 0.818
Br 0.683 0.683 0.187
Cl 0.033 0.033 0.539

Main lines, by intensity (2θ = 10–90°):
| 2θ/deg | I/Imax |
| --- | --- |
| 32.2 | 100 |
| 29.2 | 67 |
| 26.2 | 47 |
| 43.3 | 40 |
| 44.7 | 36 |
| 30.9 | 33 |
| 27.3 | 32 |
| 47.0 | 31 |
| 31.8 | 24 |
| 17.3 | 23 |

=====

No. 2
The following is a simulated X-ray diffraction stick pattern of Sm2Y2CBr3Cl2. It was derived from the PBE geometry in OQMD, using Cu Kα (weighted mean of Kα1 and Kα2).
Intensities are scaled so that the largest is 100.

Cell and atoms:
Cell lengths 9.085, 9.085, 8.275 Å; angles 103.26, 103.26, 24.43 degrees
Element x y z (fractional)
Sm 0.000 0.000 0.205
Sm 0.000 0.000 0.795
Y 0.361 0.361 0.925
Y 0.639 0.639 0.075
C 0.500 0.500 0.000
Br 0.173 0.173 0.837
Br 0.500 0.500 0.500
Br 0.827 0.827 0.163
Cl 0.163 0.163 0.316
Cl 0.837 0.837 0.684

Main lines, by intensity (2θ = 10–90°):
| 2θ/deg | I/Imax |
| --- | --- |
| 31.8 | 100 |
| 10.2 | 64 |
| 45.0 | 57 |
| 11.0 | 56 |
| 31.1 | 47 |
| 34.9 | 29 |
| 40.3 | 25 |
| 33.4 | 20 |
| 34.8 | 19 |
| 47.3 | 18 |

=====

No. 3
The following is a simulated X-ray diffraction stick pattern of Sm2Y2CBr2Cl3. It was derived from the PBE geometry in OQMD, using Cu Kα (weighted mean of Kα1 and Kα2).
Intensities are scaled so that the largest is 100.

Cell and atoms:
Cell lengths 8.923, 8.923, 7.911 Å; angles 102.89, 102.89, 24.50 degrees
Element x y z (fractional)
Sm 0.146 0.146 0.078
Sm 0.854 0.854 0.922
Y 0.498 0.498 0.209
Y 0.502 0.502 0.791
C 0.000 0.000 0.000
Br 0.335 0.335 0.637
Br 0.665 0.665 0.363
Cl 0.000 0.000 0.500
Cl 0.332 0.332 0.171
Cl 0.668 0.668 0.829

Main lines, by intensity (2θ = 10–90°):
| 2θ/deg | I/Imax |
| --- | --- |
| 32.7 | 100 |
| 46.2 | 56 |
| 11.5 | 51 |
| 31.6 | 47 |
| 32.1 | 39 |
| 29.3 | 28 |
| 21.5 | 23 |
| 13.6 | 22 |
| 38.9 | 19 |
| 48.1 | 18 |

=====

No. 4
The following is a simulated X-ray diffraction stick pattern of Sm2Y2CBrCl4. It was derived from the PBE geometry in OQMD, using Cu Kα (weighted mean of Kα1 and Kα2).
Intensities are scaled so that the largest is 100.

Cell and atoms:
Cell lengths 8.847, 8.847, 8.076 Å; angles 104.36, 104.36, 24.75 degrees
Element x y z (fractional)
Sm 0.147 0.147 0.085
Sm 0.853 0.853 0.915
Y 0.499 0.499 0.203
Y 0.501 0.501 0.797
C 0.000 0.000 0.000
Br 0.000 0.000 0.500
Cl 0.332 0.332 0.161
Cl 0.338 0.338 0.658
Cl 0.662 0.662 0.342
Cl 0.668 0.668 0.839

Main lines, by intensity (2θ = 10–90°):
| 2θ/deg | I/Imax |
| --- | --- |
| 32.4 | 100 |
| 11.3 | 73 |
| 32.1 | 45 |
| 32.3 | 37 |
| 46.6 | 30 |
| 21.4 | 28 |
| 29.1 | 28 |
| 17.4 | 27 |
| 45.9 | 26 |
| 10.6 | 23 |

=====

No. 5
The following is a simulated X-ray diffraction stick pattern of Sm2Y2CBrCl4. It was derived from the PBE geometry in OQMD, using Cu Kα (weighted mean of Kα1 and Kα2).
Intensities are scaled so that the largest is 100.

Cell and atoms:
Cell lengths 8.824, 8.824, 8.299 Å; angles 103.96, 103.96, 25.00 degrees
Element x y z (fractional)
Sm 0.001 0.001 0.295
Sm 0.999 0.999 0.705
Y 0.356 0.356 0.422
Y 0.644 0.644 0.578
C 0.500 0.500 0.500
Br 0.500 0.500 0.000
Cl 0.168 0.168 0.818
Cl 0.173 0.173 0.359
Cl 0.827 0.827 0.641
Cl 0.832 0.832 0.182

Main lines, by intensity (2θ = 10–90°):
| 2θ/deg | I/Imax |
| --- | --- |
| 31.9 | 100 |
| 10.6 | 84 |
| 11.0 | 42 |
| 32.2 | 38 |
| 46.0 | 23 |
| 45.8 | 23 |
| 33.6 | 17 |
| 47.6 | 15 |
| 29.0 | 14 |
| 35.7 | 14 |

=====

No. 6
The following is a simulated X-ray diffraction stick pattern of Cs2PtC4Br2N4. It was derived from the PBE geometry in OQMD, using Cu Kα (weighted mean of Kα1 and Kα2).
Intensities are scaled so that the largest is 100.

Cell and atoms:
Cell lengths 9.916, 9.916, 12.443 Å; angles 128.53, 128.53, 43.25 degrees
Element x y z (fractional)
Cs 0.175 0.187 0.040
Cs 0.187 0.175 0.540
Cs 0.813 0.825 0.460
Cs 0.825 0.813 0.960
Pt 0.500 0.500 0.000
Pt 0.500 0.500 0.500
C 0.262 0.612 0.333
C 0.361 0.398 0.471
C 0.388 0.738 0.167
C 0.398 0.361 0.971
C 0.602 0.639 0.029
C 0.612 0.262 0.833
C 0.639 0.602 0.529
C 0.738 0.388 0.667
Br 0.159 0.695 0.829
Br 0.305 0.841 0.671
Br 0.695 0.159 0.329
Br 0.841 0.305 0.171
N 0.120 0.676 0.237
N 0.272 0.343 0.450
N 0.324 0.880 0.263
N 0.343 0.272 0.950
N 0.657 0.728 0.050
N 0.676 0.120 0.737
N 0.728 0.657 0.550
N 0.880 0.324 0.763

Main lines, by intensity (2θ = 10–90°):
| 2θ/deg | I/Imax |
| --- | --- |
| 19.9 | 100 |
| 31.2 | 76 |
| 23.0 | 71 |
| 29.9 | 48 |
| 40.3 | 40 |
| 19.2 | 38 |
| 31.9 | 34 |
| 47.0 | 26 |
| 14.2 | 24 |
| 40.4 | 22 |